For TbPbWO6, a crystal structure in Alexandria, relaxed with PBE+U gives the theoretical powder diffraction line list in this record (CuKα).
No peak broadening, texture or thermal motion is included.

Principal peaks in the range 2θ from 10° to 90°, by angle:
d_spacing  I (rel.)  h k l
3.448  100  1 0 1
2.820  52  1 1 0
2.183  29  2 0 1
1.843  42  2 -1 2
1.726  29  3 -1 1
1.628  15  3 0 0
1.540  10  1 0 3
1.353  12  3 0 2
1.305  12  3 1 1
1.220  11  2 2 2

Atomic structure:
```
data_TbPbWO6
_chemical_formula_sum 'Tb1 Pb1 W1 O6'
_cell_length_a 5.6396
_cell_length_b 5.6396
_cell_length_c 4.8683
_cell_angle_alpha 90.00
_cell_angle_beta 90.00
_cell_angle_gamma 120.00
_symmetry_space_group_name_H-M 'P 3 1 2'
_symmetry_Int_Tables_number 149
loop_
_symmetry_equiv_pos_as_xyz
'x,y,z'
'-y,x-y,z'
'-x+y,-x,z'
'-y,-x,-z'
'-x+y,y,-z'
'x,x-y,-z'
loop_
_atom_site_label
_atom_site_type_symbol
_atom_site_fract_x
_atom_site_fract_y
_atom_site_fract_z
Tb1 Tb 0.0000 0.0000 0.0000
Pb1 Pb 0.6667 0.3333 0.5000
W1 W 0.3333 0.6667 0.0000
O1 O 0.0474 0.3733 0.2225
```